1.
This entry pairs a crystal structure of NaSr2ReN4 with its simulated powder X-ray diffraction pattern. Radiation: a wavelength of 1.5418 Å. Structure: a cell relaxed with GGA-PBE.
No peak broadening, texture or thermal motion is included.

Cell lengths 6.2167, 6.0344, 7.0810 Å; angles 90.00, 105.06, 90.00 degrees
Space group P2_1/m (No. 11)
Inequivalent atoms, fractional coordinates:
Na 0.2288 0.2500 0.3121 x2
Sr 0.2234 0.7500 0.0468 x2
Sr 0.2524 0.7500 0.5578 x2
Re 0.2413 0.2500 0.8017 x2
N 0.0519 0.0108 0.7509 x4
N 0.4018 0.2500 0.0565 x2
N 0.4373 0.2500 0.6437 x2

Principal peaks in the range 2θ from 10° to 80°, sorted by position:
16.93°, I 605, (1 0 -1); 19.62°, I 862, (0 1 1); 22.10°, I 460, (1 0 1); 29.61°, I 1000, (0 2 0); 29.77°, I 770, (2 0 0); 30.04°, I 588, (0 1 2); 30.37°, I 862, (1 1 -2); 36.62°, I 845, (1 1 2); 37.45°, I 626, (2 1 -2); 42.47°, I 808, (2 2 0)



2.
This entry pairs a crystal structure of Dy2TmIn3Ir2 with its simulated powder X-ray diffraction pattern. Radiation: a wavelength of 1.5418 Å. Structure: a cell relaxed with GGA-PBE.
No peak broadening, texture or thermal motion is included.

Cell lengths 3.6522, 13.1376, 7.6084 Å; angles 90.00, 90.00, 90.00 degrees
Space group Amm2 (No. 38)
Inequivalent atoms, fractional coordinates:
Dy 0.0000 0.2108 0.0000 x4
Tm 0.0000 0.0000 0.3668 x2
In 0.5000 0.0000 0.0253 x2
In 0.5000 0.1167 0.6712 x4
Ir 0.5000 0.1653 0.2901 x4

Principal peaks in the range 2θ from 10° to 80°, sorted by position:
13.46°, I 282, (0 1 1); 34.06°, I 1000, (1 3 1); 36.12°, I 671, (0 1 3); 36.77°, I 704, (1 4 0); 41.16°, I 193, (0 6 0); 44.06°, I 136, (1 4 2); 49.95°, I 276, (2 0 0); 56.33°, I 137, (1 5 3); 63.17°, I 259, (2 1 3); 70.43°, I 148, (1 6 4)



3.
This entry pairs a crystal structure of Hf4FeCuP2 with its simulated powder X-ray diffraction pattern. Radiation: a wavelength of 1.5418 Å. Structure: a cell relaxed with GGA-PBE.
No peak broadening, texture or thermal motion is included.

Cell lengths 5.1968, 3.6029, 7.4446 Å; angles 90.00, 109.50, 90.00 degrees
Space group Pm (No. 6)
Inequivalent atoms, fractional coordinates:
Hf 0.0000 0.0000 0.0000 x1
Hf 0.0578 0.5000 0.6253 x1
Hf 0.4830 0.0000 0.4756 x1
Hf 0.5584 0.5000 0.1421 x1
Fe 0.1368 0.5000 0.2619 x1
Cu 0.4153 0.0000 0.8469 x1
P 0.6388 0.5000 0.7663 x1
P 0.9139 0.0000 0.3490 x1

Principal peaks in the range 2θ from 10° to 80°, sorted by position:
25.40°, I 193, (1 0 1); 30.92°, I 491, (1 1 -1); 35.73°, I 1000, (0 1 2); 36.66°, I 502, (2 0 0); 37.09°, I 257, (2 0 -2); 44.72°, I 281, (2 1 0); 48.40°, I 197, (1 0 3); 50.67°, I 179, (0 2 0); 59.45°, I 183, (2 1 -4); 64.16°, I 198, (2 2 0)



4.
This entry pairs a crystal structure of LaGdFe2Si2 with its simulated powder X-ray diffraction pattern. Radiation: a wavelength of 1.5418 Å. Structure: a cell relaxed with GGA-PBE.
No peak broadening, texture or thermal motion is included.

Cell lengths 4.0596, 4.0596, 6.8359 Å; angles 90.00, 90.00, 90.00 degrees
Space group P4mm (No. 99)
Inequivalent atoms, fractional coordinates:
La 0.0000 0.0000 0.0000 x1
Gd 0.5000 0.5000 0.6290 x1
Fe 0.0000 0.5000 0.3300 x2
Si 0.0000 0.0000 0.4944 x1
Si 0.5000 0.5000 0.1631 x1

Principal peaks in the range 2θ from 10° to 80°, sorted by position:
25.52°, I 1000, (1 0 1); 31.16°, I 339, (1 1 0); 33.87°, I 428, (1 1 1); 34.30°, I 673, (1 0 2); 41.06°, I 719, (1 1 2); 44.64°, I 511, (2 0 0); 52.12°, I 293, (2 1 1); 57.48°, I 301, (2 1 2); 58.61°, I 239, (1 0 4); 76.56°, I 218, (2 1 4)



5.
This entry pairs a crystal structure of Re3W2 with its simulated powder X-ray diffraction pattern. Radiation: a wavelength of 1.5418 Å. Structure: a cell relaxed with GGA-PBE.
No peak broadening, texture or thermal motion is included.

Cell lengths 9.6454, 9.6454, 5.0098 Å; angles 90.00, 90.00, 90.00 degrees
Space group P4_2/mnm (No. 136)
Inequivalent atoms, fractional coordinates:
Re 0.0000 0.0000 0.0000 x2
Re 0.0665 0.2594 0.0000 x8
Re 0.1832 0.8168 0.2507 x8
W 0.0359 0.3692 0.5000 x8
W 0.1014 0.1014 0.5000 x4

Principal peaks in the range 2θ from 10° to 80°, sorted by position:
35.85°, I 206, (0 0 2); 38.48°, I 834, (4 1 0); 39.64°, I 365, (3 3 0); 40.58°, I 336, (2 0 2); 41.70°, I 669, (2 1 2); 42.66°, I 1000, (4 1 1); 43.72°, I 494, (3 3 1); 67.90°, I 211, (5 3 2); 69.11°, I 243, (4 1 3); 71.16°, I 175, (7 2 0)



6.
This entry pairs a crystal structure of Ho2Tl2SnS6 with its simulated powder X-ray diffraction pattern. Radiation: a wavelength of 1.5418 Å. Structure: a cell relaxed with GGA-PBE.
No peak broadening, texture or thermal motion is included.

Cell lengths 6.7620, 6.7620, 7.6669 Å; angles 90.00, 90.00, 120.00 degrees
Space group P-3 (No. 147)
Inequivalent atoms, fractional coordinates:
Ho 0.3333 0.6667 0.0065 x2
Tl 0.3333 0.6667 0.5093 x2
Sn 0.0000 0.0000 0.0000 x1
S 0.0047 0.6834 0.8068 x6

Principal peaks in the range 2θ from 10° to 80°, sorted by position:
15.13°, I 240, (1 0 0); 23.20°, I 265, (0 0 2); 26.36°, I 691, (1 1 0); 27.82°, I 142, (1 0 2); 35.40°, I 1000, (2 -1 2); 46.52°, I 291, (3 0 0); 52.62°, I 193, (3 0 2); 55.08°, I 233, (1 1 4); 59.79°, I 220, (2 2 2); 78.97°, I 199, (5 -1 2)